Starting from a structure optimized by DFT (GGA-PBE), the X-ray diffraction stick pattern of CeU2FeC4 was computed for CuKα.
No peak broadening, texture or thermal motion is included.

Most intense lines, 15 to 90 degrees two-theta, by intensity:
2θ = 31.0°, d 2.883, intensity 100
2θ = 28.0°, d 3.182, intensity 78
2θ = 38.4°, d 2.344, intensity 57
2θ = 31.4°, d 2.847, intensity 48
2θ = 48.0°, d 1.894, intensity 28
2θ = 35.8°, d 2.505, intensity 24
2θ = 42.3°, d 2.134, intensity 23
2θ = 53.5°, d 1.714, intensity 22
2θ = 35.7°, d 2.516, intensity 22
2θ = 53.7°, d 1.707, intensity 21

Atomic structure:
```
data_CeU2FeC4
_chemical_formula_sum 'Ce2 U4 Fe2 C8'
_cell_length_a 5.954
_cell_length_b 5.954
_cell_length_c 11.512
_cell_angle_alpha 90.00
_cell_angle_beta 90.00
_cell_angle_gamma 145.97
_space_group_name_H-M_alt 'P 1'
_space_group_IT_number 1
_space_group_name_Hall 'P 1'
loop_
_atom_site_label
_atom_site_fract_x
_atom_site_fract_y
_atom_site_fract_z
_atom_site_occupancy
Ce1 0.100 0.900 0.750 1
Ce2 0.900 0.100 0.250 1
U1 0.368 0.632 0.552 1
U2 0.368 0.632 0.948 1
U3 0.632 0.368 0.052 1
U4 0.632 0.368 0.448 1
Fe1 0.160 0.840 0.250 1
Fe2 0.840 0.160 0.750 1
C1 0.000 0.000 0.000 1
C2 0.000 0.000 0.500 1
C3 0.260 0.740 0.121 1
C4 0.260 0.740 0.379 1
C5 0.432 0.568 0.750 1
C6 0.568 0.432 0.250 1
C7 0.740 0.260 0.621 1
C8 0.740 0.260 0.879 1
```

---

Starting from a structure optimized by DFT (GGA-PBE), the X-ray diffraction stick pattern of Er3Ga2Rh2 was computed for CuKα.
No peak broadening, texture or thermal motion is included.

Most intense lines, 15 to 90 degrees two-theta, by intensity:
2θ = 34.6°, d 2.594, intensity 100
2θ = 40.0°, d 2.254, intensity 85
2θ = 35.2°, d 2.551, intensity 77
2θ = 38.7°, d 2.327, intensity 73
2θ = 33.0°, d 2.711, intensity 54
2θ = 59.3°, d 1.558, intensity 41
2θ = 39.7°, d 2.270, intensity 39
2θ = 56.6°, d 1.625, intensity 25
2θ = 30.4°, d 2.936, intensity 22
2θ = 26.6°, d 3.351, intensity 19

Atomic structure:
```
data_Er3Ga2Rh2
_chemical_formula_sum 'Er12 Ga8 Rh8'
_cell_length_a 5.515
_cell_length_b 7.700
_cell_length_c 13.618
_cell_angle_alpha 90.00
_cell_angle_beta 90.00
_cell_angle_gamma 90.00
_space_group_name_H-M_alt 'P 1'
_space_group_IT_number 1
_space_group_name_Hall 'P 1'
loop_
_atom_site_label
_atom_site_fract_x
_atom_site_fract_y
_atom_site_fract_z
_atom_site_occupancy
Er1 0.126 0.234 0.250 1
Er2 0.126 0.266 0.750 1
Er3 0.347 0.598 0.098 1
Er4 0.347 0.598 0.402 1
Er5 0.347 0.902 0.598 1
Er6 0.347 0.902 0.902 1
Er7 0.653 0.098 0.098 1
Er8 0.653 0.098 0.402 1
Er9 0.653 0.402 0.598 1
Er10 0.653 0.402 0.902 1
Er11 0.874 0.734 0.250 1
Er12 0.874 0.766 0.750 1
Ga1 0.151 0.250 0.000 1
Ga2 0.151 0.250 0.500 1
Ga3 0.380 0.612 0.750 1
Ga4 0.380 0.888 0.250 1
Ga5 0.620 0.112 0.750 1
Ga6 0.620 0.388 0.250 1
Ga7 0.849 0.750 0.000 1
Ga8 0.849 0.750 0.500 1
Rh1 0.143 0.540 0.593 1
Rh2 0.143 0.540 0.907 1
Rh3 0.143 0.960 0.093 1
Rh4 0.143 0.960 0.407 1
Rh5 0.857 0.040 0.593 1
Rh6 0.857 0.040 0.907 1
Rh7 0.857 0.460 0.093 1
Rh8 0.857 0.460 0.407 1
```

---

Starting from a structure optimized by DFT (GGA-PBE), the X-ray diffraction stick pattern of SrAlPH2 was computed for CuKα.
No peak broadening, texture or thermal motion is included.

Most intense lines, 15 to 90 degrees two-theta, by intensity:
2θ = 30.7°, d 2.909, intensity 100
2θ = 28.7°, d 3.110, intensity 88
2θ = 44.0°, d 2.057, intensity 84
2θ = 18.7°, d 4.750, intensity 64
2θ = 36.2°, d 2.481, intensity 51
2θ = 64.0°, d 1.454, intensity 42
2θ = 53.4°, d 1.716, intensity 31
2θ = 49.5°, d 1.840, intensity 25
2θ = 85.0°, d 1.141, intensity 21
2θ = 48.2°, d 1.888, intensity 21

Atomic structure:
```
data_SrAlPH2
_chemical_formula_sum 'Sr1 Al1 P1 H2'
_cell_length_a 4.114
_cell_length_b 4.114
_cell_length_c 4.750
_cell_angle_alpha 90.00
_cell_angle_beta 90.00
_cell_angle_gamma 90.00
_space_group_name_H-M_alt 'P 1'
_space_group_IT_number 1
_space_group_name_Hall 'P 1'
loop_
_atom_site_label
_atom_site_fract_x
_atom_site_fract_y
_atom_site_fract_z
_atom_site_occupancy
Sr1 0.000 0.000 0.000 1
Al1 0.500 0.500 0.366 1
P1 0.500 0.500 0.856 1
H1 0.000 0.500 0.344 1
H2 0.500 0.000 0.344 1
```

---

Starting from a structure optimized by DFT (GGA-PBE), the X-ray diffraction stick pattern of NaGa3Au6 was computed for CuKα.
No peak broadening, texture or thermal motion is included.

Most intense lines, 15 to 90 degrees two-theta, by intensity:
2θ = 33.7°, d 2.658, intensity 100
2θ = 18.6°, d 4.766, intensity 70
2θ = 26.7°, d 3.339, intensity 61
2θ = 26.1°, d 3.409, intensity 56
2θ = 37.7°, d 2.383, intensity 52
2θ = 25.4°, d 3.509, intensity 51
2θ = 42.7°, d 2.116, intensity 40
2θ = 18.8°, d 4.725, intensity 39
2θ = 40.9°, d 2.205, intensity 38
2θ = 42.2°, d 2.143, intensity 38

Atomic structure:
```
data_NaGa3Au6
_chemical_formula_sum 'Na1 Ga3 Au6'
_cell_length_a 6.440
_cell_length_b 6.618
_cell_length_c 6.827
_cell_angle_alpha 62.96
_cell_angle_beta 61.97
_cell_angle_gamma 61.56
_space_group_name_H-M_alt 'P 1'
_space_group_IT_number 1
_space_group_name_Hall 'P 1'
loop_
_atom_site_label
_atom_site_fract_x
_atom_site_fract_y
_atom_site_fract_z
_atom_site_occupancy
Na1 0.000 0.000 0.000 1
Ga1 0.324 0.289 0.272 1
Ga2 0.532 0.529 0.518 1
Ga3 0.833 0.811 0.785 1
Au1 0.188 0.406 0.908 1
Au2 0.445 0.901 0.156 1
Au3 0.498 0.598 0.932 1
Au4 0.616 0.928 0.475 1
Au5 0.926 0.167 0.404 1
Au6 0.977 0.458 0.595 1
```

---

Starting from a structure optimized by DFT (GGA-PBE), the X-ray diffraction stick pattern of Mn2SbN3 was computed for CuKα.
No peak broadening, texture or thermal motion is included.

Most intense lines, 15 to 90 degrees two-theta, by intensity:
2θ = 35.2°, d 2.550, intensity 100
2θ = 26.9°, d 3.312, intensity 63
2θ = 32.2°, d 2.777, intensity 58
2θ = 26.7°, d 3.336, intensity 53
2θ = 33.0°, d 2.711, intensity 45
2θ = 29.5°, d 3.031, intensity 38
2θ = 42.3°, d 2.134, intensity 32
2θ = 60.8°, d 1.523, intensity 26
2θ = 36.4°, d 2.468, intensity 21
2θ = 38.6°, d 2.332, intensity 21

Atomic structure:
```
data_Mn2SbN3
_chemical_formula_sum 'Mn8 Sb4 N12'
_cell_length_a 7.232
_cell_length_b 7.232
_cell_length_c 8.074
_cell_angle_alpha 92.18
_cell_angle_beta 92.18
_cell_angle_gamma 134.60
_space_group_name_H-M_alt 'P 1'
_space_group_IT_number 1
_space_group_name_Hall 'P 1'
loop_
_atom_site_label
_atom_site_fract_x
_atom_site_fract_y
_atom_site_fract_z
_atom_site_occupancy
Mn1 0.006 0.685 0.569 1
Mn2 0.039 0.520 0.845 1
Mn3 0.315 0.994 0.931 1
Mn4 0.480 0.961 0.655 1
Mn5 0.520 0.039 0.345 1
Mn6 0.685 0.006 0.069 1
Mn7 0.961 0.480 0.155 1
Mn8 0.994 0.315 0.431 1
Sb1 0.269 0.291 0.112 1
Sb2 0.291 0.269 0.612 1
Sb3 0.709 0.731 0.388 1
Sb4 0.731 0.709 0.888 1
N1 0.013 0.314 0.997 1
N2 0.066 0.934 0.750 1
N3 0.165 0.566 0.622 1
N4 0.271 0.729 0.250 1
N5 0.314 0.013 0.497 1
N6 0.434 0.835 0.878 1
N7 0.566 0.165 0.122 1
N8 0.686 0.987 0.503 1
N9 0.729 0.271 0.750 1
N10 0.835 0.434 0.378 1
N11 0.934 0.066 0.250 1
N12 0.987 0.686 0.003 1
```

---

Starting from a structure optimized by DFT (GGA-PBE), the X-ray diffraction stick pattern of LaIr2Cl2 was computed for CuKα.
No peak broadening, texture or thermal motion is included.

Most intense lines, 15 to 90 degrees two-theta, by intensity:
2θ = 16.5°, d 5.388, intensity 100
2θ = 37.1°, d 2.421, intensity 69
2θ = 44.3°, d 2.043, intensity 28
2θ = 56.5°, d 1.628, intensity 18
2θ = 55.0°, d 1.670, intensity 18
2θ = 33.3°, d 2.694, intensity 16
2θ = 24.8°, d 3.592, intensity 16
2θ = 52.1°, d 1.757, intensity 14
2θ = 40.0°, d 2.256, intensity 13
2θ = 88.5°, d 1.105, intensity 12

Atomic structure:
```
data_LaIr2Cl2
_chemical_formula_sum 'La1 Ir2 Cl2'
_cell_length_a 11.059
_cell_length_b 11.059
_cell_length_c 11.059
_cell_angle_alpha 161.72
_cell_angle_beta 161.72
_cell_angle_gamma 25.97
_space_group_name_H-M_alt 'P 1'
_space_group_IT_number 1
_space_group_name_Hall 'P 1'
loop_
_atom_site_label
_atom_site_fract_x
_atom_site_fract_y
_atom_site_fract_z
_atom_site_occupancy
La1 0.000 0.000 0.000 1
Ir1 0.250 0.750 0.500 1
Ir2 0.750 0.250 0.500 1
Cl1 0.425 0.425 0.000 1
Cl2 0.575 0.575 0.000 1
```

---

Starting from a structure optimized by DFT (GGA-PBE), the X-ray diffraction stick pattern of Cu4NiAu5 was computed for CuKα.
No peak broadening, texture or thermal motion is included.

Most intense lines, 15 to 90 degrees two-theta, by intensity:
2θ = 40.3°, d 2.240, intensity 100
2θ = 43.4°, d 2.086, intensity 41
2θ = 77.5°, d 1.232, intensity 29
2θ = 30.3°, d 2.950, intensity 25
2θ = 71.0°, d 1.327, intensity 18
2θ = 25.9°, d 3.441, intensity 18
2θ = 63.0°, d 1.475, intensity 13
2θ = 51.2°, d 1.784, intensity 12
2θ = 87.0°, d 1.120, intensity 11
2θ = 53.2°, d 1.721, intensity 11

Atomic structure:
```
data_Cu4NiAu5
_chemical_formula_sum 'Cu4 Ni1 Au5'
_cell_length_a 2.950
_cell_length_b 2.950
_cell_length_c 17.207
_cell_angle_alpha 90.00
_cell_angle_beta 90.00
_cell_angle_gamma 90.00
_space_group_name_H-M_alt 'P 1'
_space_group_IT_number 1
_space_group_name_Hall 'P 1'
loop_
_atom_site_label
_atom_site_fract_x
_atom_site_fract_y
_atom_site_fract_z
_atom_site_occupancy
Cu1 0.000 0.000 0.101 1
Cu2 0.000 0.000 0.303 1
Cu3 0.000 0.000 0.697 1
Cu4 0.000 0.000 0.899 1
Ni1 0.000 0.000 0.500 1
Au1 0.500 0.500 0.000 1
Au2 0.500 0.500 0.201 1
Au3 0.500 0.500 0.402 1
Au4 0.500 0.500 0.598 1
Au5 0.500 0.500 0.799 1
```

---

Copy entry 2 word for word.
Starting from a structure optimized by DFT (GGA-PBE), the X-ray diffraction stick pattern of Er3Ga2Rh2 was computed for CuKα.
No peak broadening, texture or thermal motion is included.

Most intense lines, 15 to 90 degrees two-theta, by intensity:
2θ = 34.6°, d 2.594, intensity 100
2θ = 40.0°, d 2.254, intensity 85
2θ = 35.2°, d 2.551, intensity 77
2θ = 38.7°, d 2.327, intensity 73
2θ = 33.0°, d 2.711, intensity 54
2θ = 59.3°, d 1.558, intensity 41
2θ = 39.7°, d 2.270, intensity 39
2θ = 56.6°, d 1.625, intensity 25
2θ = 30.4°, d 2.936, intensity 22
2θ = 26.6°, d 3.351, intensity 19

Atomic structure:
```
data_Er3Ga2Rh2
_chemical_formula_sum 'Er12 Ga8 Rh8'
_cell_length_a 5.515
_cell_length_b 7.700
_cell_length_c 13.618
_cell_angle_alpha 90.00
_cell_angle_beta 90.00
_cell_angle_gamma 90.00
_space_group_name_H-M_alt 'P 1'
_space_group_IT_number 1
_space_group_name_Hall 'P 1'
loop_
_atom_site_label
_atom_site_fract_x
_atom_site_fract_y
_atom_site_fract_z
_atom_site_occupancy
Er1 0.126 0.234 0.250 1
Er2 0.126 0.266 0.750 1
Er3 0.347 0.598 0.098 1
Er4 0.347 0.598 0.402 1
Er5 0.347 0.902 0.598 1
Er6 0.347 0.902 0.902 1
Er7 0.653 0.098 0.098 1
Er8 0.653 0.098 0.402 1
Er9 0.653 0.402 0.598 1
Er10 0.653 0.402 0.902 1
Er11 0.874 0.734 0.250 1
Er12 0.874 0.766 0.750 1
Ga1 0.151 0.250 0.000 1
Ga2 0.151 0.250 0.500 1
Ga3 0.380 0.612 0.750 1
Ga4 0.380 0.888 0.250 1
Ga5 0.620 0.112 0.750 1
Ga6 0.620 0.388 0.250 1
Ga7 0.849 0.750 0.000 1
Ga8 0.849 0.750 0.500 1
Rh1 0.143 0.540 0.593 1
Rh2 0.143 0.540 0.907 1
Rh3 0.143 0.960 0.093 1
Rh4 0.143 0.960 0.407 1
Rh5 0.857 0.040 0.593 1
Rh6 0.857 0.040 0.907 1
Rh7 0.857 0.460 0.093 1
Rh8 0.857 0.460 0.407 1
```